Computed X-ray diffraction stick pattern of CrNi3N3 for copper Kα, from a PBE-relaxed structure.
Kinematic intensities with the Lorentz-polarization factor, no thermal factor.

Main lines, by angle (10 to 90 degrees two-theta):
h k l  d/Å  2θ (°)  Rel. int.
1 0 0  5.407  16.39  70
1 1 1  2.488  36.10  43
2 0 1  2.260  39.89  100
0 0 2  2.059  43.97  55
1 2 0  2.044  44.32  75
2 1 1  1.831  49.81  32
1 2 2  1.451  64.20  44
1 3 1  1.409  66.33  16
2 3 1  1.188  80.94  17
4 1 0  1.180  81.59  12

Crystal structure
```
data_CrNi3N3
_chemical_formula_sum 'Cr2 Ni6 N6'
_space_group_name_H-M_alt 'P 63/m'
_space_group_IT_number 176
_space_group_name_Hall '-P 6c'
_cell_length_a 6.2436
_cell_length_b 6.2436
_cell_length_c 4.1189
_cell_angle_alpha 90.00
_cell_angle_beta 90.00
_cell_angle_gamma 120.00
loop_
_atom_site_label
_atom_site_type_symbol
_atom_site_fract_x
_atom_site_fract_y
_atom_site_fract_z
Cr1 Cr 0.3333 0.6667 0.2500
Ni1 Ni 0.1173 0.4022 0.7500
N1 N 0.0468 0.3828 0.2500
```